Entry 1:
For Ac2PdPbO6, the PBE geometry in Alexandria gives the simulated powder XRD pattern in this record (Cu Kα (λ = 1.5418 Å)).

Crystal structure
```
data_Ac2PdPbO6
_chemical_formula_sum 'Ac4 Pd2 Pb2 O12'
_symmetry_space_group_name_H-M 'C 1 2/m 1'
_symmetry_Int_Tables_number 12
_cell_length_a 11.5099
_cell_length_b 5.7201
_cell_length_c 5.4873
_cell_angle_alpha 90.00
_cell_angle_beta 116.38
_cell_angle_gamma 90.00
loop_
_symmetry_equiv_pos_as_xyz
'x,y,z'
'-x,-y,-z'
'-x,y,-z'
'x,-y,z'
'x+1/2,y+1/2,z'
'-x+1/2,-y+1/2,-z'
'-x+1/2,y+1/2,-z'
'x+1/2,-y+1/2,z'
loop_
_atom_site_label
_atom_site_fract_x
_atom_site_fract_y
_atom_site_fract_z
_atom_site_occupancy
Ac1 0.2441 0.0000 0.2187 1
Pd1 0.0000 0.0000 0.5000 1
Pb1 0.0000 0.5000 0.0000 1
O1 0.0833 0.2397 0.8086 1
O2 0.2006 0.5000 0.2970 1
```

The 10 most intense peaks (2θ from 15° to 90°), sorted by position:
(hkl)	d [Å]	2θ/deg	Rel. int.
1 1 1	3.180	28.1	95
3 1 -1	3.101	28.8	100
0 2 0	2.860	31.3	38
2 0 -2	2.742	32.7	30
4 0 0	2.578	34.8	29
2 2 -2	1.979	45.8	33
4 2 0	1.914	47.5	42
1 3 1	1.707	53.7	17
3 3 -1	1.694	54.1	17
2 2 2	1.591	58.0	28



Entry 2:
For RbSb2PO8, the PBE geometry in Alexandria gives the simulated powder XRD pattern in this record (Cu Kα (λ = 1.5418 Å)).

Crystal structure
```
data_RbSb2PO8
_chemical_formula_sum 'Rb8 Sb16 P8 O64'
_symmetry_space_group_name_H-M 'C 1 2/c 1'
_symmetry_Int_Tables_number 15
_cell_length_a 12.7267
_cell_length_b 7.2209
_cell_length_c 15.2791
_cell_angle_alpha 90.00
_cell_angle_beta 96.75
_cell_angle_gamma 90.00
loop_
_symmetry_equiv_pos_as_xyz
'x,y,z'
'-x,-y,-z'
'-x,y,-z+1/2'
'x,-y,z+1/2'
'x+1/2,y+1/2,z'
'-x+1/2,-y+1/2,-z'
'-x+1/2,y+1/2,-z+1/2'
'x+1/2,-y+1/2,z+1/2'
loop_
_atom_site_label
_atom_site_fract_x
_atom_site_fract_y
_atom_site_fract_z
_atom_site_occupancy
Rb1 0.0303 0.1189 0.3880 1
Sb1 0.1771 0.3691 0.9364 1
Sb2 0.2491 0.3708 0.2539 1
P1 0.0997 0.3901 0.6068 1
O1 0.0160 0.3708 0.9344 1
O2 0.1124 0.4478 0.1738 1
O3 0.1278 0.2021 0.6528 1
O4 0.1623 0.1831 0.8404 1
O5 0.1682 0.1639 0.0256 1
O6 0.1697 0.4196 0.3558 1
O7 0.1697 0.4218 0.5315 1
O8 0.1848 0.1201 0.2471 1
```

The 10 most intense peaks (2θ from 15° to 90°), sorted by position:
(hkl)	d [Å]	2θ/deg	Rel. int.
2 0 2	4.597	19.3	32
3 1 0	3.639	24.5	29
3 1 -1	3.623	24.6	21
2 0 -4	3.435	25.9	60
3 1 2	3.160	28.2	35
2 2 -1	3.106	28.7	60
0 2 3	2.939	30.4	100
6 0 2	1.971	46.0	23
2 2 -7	1.834	49.7	23
6 2 -1	1.829	49.9	18



Entry 3:
For Rb2NpTa3O12, the PBE geometry in Alexandria gives the simulated powder XRD pattern in this record (Cu Kα (λ = 1.5418 Å)).

Crystal structure
```
data_Rb2NpTa3O12
_chemical_formula_sum 'Rb6 Np3 Ta9 O36'
_symmetry_space_group_name_H-M 'R -3 m'
_symmetry_Int_Tables_number 166
_symmetry_space_group_name_Hall '-R 3 2"'
_cell_length_a 7.4641
_cell_length_b 7.4641
_cell_length_c 18.9225
_cell_angle_alpha 90.00
_cell_angle_beta 90.00
_cell_angle_gamma 120.00
loop_
_atom_site_label
_atom_site_fract_x
_atom_site_fract_y
_atom_site_fract_z
_atom_site_occupancy
Rb1 0.0000 0.0000 0.1083 1
Np1 0.0000 0.0000 0.5000 1
Ta1 0.0000 0.5000 0.0000 1
O1 0.0786 0.5393 0.1045 1
O2 0.0831 0.5415 0.3517 1
```

The 10 most intense peaks (2θ from 15° to 90°), sorted by position:
(hkl)	d [Å]	2θ/deg	Rel. int.
0 1 5	3.266	27.3	63
1 1 3	3.212	27.8	87
0 2 1	3.186	28.0	36
0 0 6	3.154	28.3	25
2 0 2	3.059	29.2	100
0 2 4	2.669	33.6	24
1 2 5	2.053	44.1	26
3 0 3	2.039	44.4	27
2 0 8	1.909	47.6	36
2 2 0	1.866	48.8	39



Entry 4:
For Mo4Au5, the PBE geometry in Alexandria gives the simulated powder XRD pattern in this record (Cu Kα (λ = 1.5418 Å)).

Crystal structure
```
data_Mo4Au5
_chemical_formula_sum 'Mo8 Au10'
_symmetry_space_group_name_H-M 'I 4/m m m'
_symmetry_Int_Tables_number 139
_symmetry_space_group_name_Hall '-I 4 2'
_cell_length_a 9.6737
_cell_length_b 9.6737
_cell_length_c 3.3304
_cell_angle_alpha 90.00
_cell_angle_beta 90.00
_cell_angle_gamma 90.00
loop_
_atom_site_label
_atom_site_fract_x
_atom_site_fract_y
_atom_site_fract_z
_atom_site_occupancy
Mo1 0.0000 0.3502 0.0000 1
Au1 0.0000 0.0000 0.0000 1
Au2 0.1679 0.1679 0.5000 1
```

The 10 most intense peaks (2θ from 15° to 90°), sorted by position:
(hkl)	d [Å]	2θ/deg	Rel. int.
2 2 0	3.420	26.1	6
2 1 1	2.639	34.0	8
3 0 1	2.317	38.9	100
3 3 0	2.280	39.5	47
0 0 2	1.665	55.2	9
6 0 0	1.612	57.1	16
3 3 2	1.345	70.0	18
6 3 1	1.323	71.3	32
6 0 2	1.158	83.4	11
6 6 0	1.140	85.1	5